Structure and simulated powder diffractogram of Fe3As2O16 (a crystal structure in Alexandria, relaxed with GGA+U; Cu Kα (weighted mean of Kα1 and Kα2)).

The 10 most intense peaks (5° ≤ 2θ ≤ 70°), sorted by position:
d 7.596, I 49
d 5.661, I 70
d 5.122, I 30
d 4.357, I 25
d 4.003, I 33
d 3.269, I 41
d 3.062, I 100
d 2.948, I 72
d 2.532, I 29
d 1.906, I 25

a = 7.7608 Å, b = 7.7608 Å, c = 4.8116 Å
α = 100.36°, β = 100.36°, γ = 93.67°
Fractional coordinates of all 21 atoms:
Fe: 0.0000 0.0000 0.0000
Fe: 0.3652 0.6348 0.0000
Fe: 0.6348 0.3652 0.0000
As: 0.3246 0.3246 0.4326
As: 0.6754 0.6754 0.5674
O: 0.0665 0.8016 0.2275
O: 0.1213 0.6587 0.1061
O: 0.1601 0.1601 0.2952
O: 0.1984 0.9335 0.7725
O: 0.2432 0.4979 0.6254
O: 0.3413 0.8787 0.8939
O: 0.3971 0.3971 0.1409
O: 0.4979 0.2432 0.6254
O: 0.5021 0.7568 0.3746
O: 0.6029 0.6029 0.8591
O: 0.6587 0.1213 0.1061
O: 0.7568 0.5021 0.3746
O: 0.8016 0.0665 0.2275
O: 0.8399 0.8399 0.7048
O: 0.8787 0.3413 0.8939
O: 0.9335 0.1984 0.7725